Diffraction record for Th2Co17C2. The XRD peak list is simulated, not measured: it uses a DFT-relaxed cell (GGA-PBE, Alexandria) and Cu Ka.
Kinematic intensities with the Lorentz-polarization factor, no thermal factor.

Cell and atoms:
```
data_Th2Co17C2
_space_group_name_H-M_alt 'C 1 2/m 1'
_space_group_IT_number 12
_space_group_name_Hall '-C 2y'
_cell_length_a 9.472
_cell_length_b 8.607
_cell_length_c 6.408
_cell_angle_alpha 90.00
_cell_angle_beta 98.51
_cell_angle_gamma 90.00
loop_
_atom_site_label
_atom_site_type_symbol
_atom_site_fract_x
_atom_site_fract_y
_atom_site_fract_z
_atom_site_occupancy
Th1 Th 0.144 0.000 0.320 1
Co1 Co 0.000 0.224 0.000 1
Co2 Co 0.000 0.500 0.500 1
Co3 Co 0.095 0.500 0.904 1
Co4 Co 0.101 0.257 0.658 1
Co5 Co 0.142 0.359 0.284 1
Co6 Co 0.157 0.000 0.860 1
Co7 Co 0.250 0.250 0.000 1
C1 C 0.250 0.250 0.500 1
```

Principal peaks in the range 2θ = 10–90°, low angle first:
2θ 30.24, intensity 85, hkl 1 1 -2; 2θ 36.24, intensity 60, hkl 1 3 1; 2θ 41.99, intensity 52, hkl 0 4 0; 2θ 42.31, intensity 89, hkl 2 2 2; 2θ 42.65, intensity 68, hkl 1 3 -2; 2θ 42.80, intensity 100, hkl 0 0 3; 2θ 44.58, intensity 61, hkl 4 0 -2; 2θ 62.93, intensity 42, hkl 2 2 -4

=====

Diffraction record for ThCo2C. The XRD peak list is simulated, not measured: it uses a DFT-relaxed cell (GGA-PBE, Alexandria) and Cu Ka.
Kinematic intensities with the Lorentz-polarization factor, no thermal factor.

Cell and atoms:
```
data_ThCo2C
_space_group_name_H-M_alt 'P 31 2 1'
_space_group_IT_number 152
_space_group_name_Hall 'P 31 2"'
_cell_length_a 5.6180
_cell_length_b 5.6180
_cell_length_c 6.3816
_cell_angle_alpha 90.00
_cell_angle_beta 90.00
_cell_angle_gamma 120.00
loop_
_atom_site_label
_atom_site_type_symbol
_atom_site_fract_x
_atom_site_fract_y
_atom_site_fract_z
_atom_site_occupancy
Th1 Th 0.0000 0.7056 0.1667 1
Co1 Co 0.1774 0.5033 0.8242 1
C1 C 0.0000 0.6893 0.6667 1
```

Principal peaks in the range 2θ = 10–90°, low angle first:
2θ 22.99, intensity 100, hkl 0 1 1; 2θ 31.86, intensity 44, hkl 1 1 0; 2θ 33.59, intensity 47, hkl 1 0 2; 2θ 39.65, intensity 83, hkl 2 0 1; 2θ 42.50, intensity 24, hkl 0 0 3; 2θ 46.97, intensity 57, hkl 0 2 2; 2θ 51.73, intensity 16, hkl 1 2 1; 2θ 54.08, intensity 17, hkl 1 1 3

=====

Diffraction record for Th2Zn2Co4C. The XRD peak list is simulated, not measured: it uses a DFT-relaxed cell (GGA-PBE, Alexandria) and Cu Ka.
Kinematic intensities with the Lorentz-polarization factor, no thermal factor.

Cell and atoms:
```
data_Th2Zn2Co4C
_space_group_name_H-M_alt 'I 4/m m m'
_space_group_IT_number 139
_space_group_name_Hall '-I 4 2'
_cell_length_a 5.927
_cell_length_b 5.927
_cell_length_c 8.259
_cell_angle_alpha 90.00
_cell_angle_beta 90.00
_cell_angle_gamma 90.00
loop_
_atom_site_label
_atom_site_type_symbol
_atom_site_fract_x
_atom_site_fract_y
_atom_site_fract_z
_atom_site_occupancy
Th1 Th 0.000 0.000 0.207 1
Zn1 Zn 0.000 0.500 0.250 1
Co1 Co 0.231 0.231 0.500 1
C1 C 0.000 0.000 0.500 1
```

Principal peaks in the range 2θ = 10–90°, low angle first:
2θ 21.20, intensity 36, hkl 1 1 0; 2θ 30.16, intensity 19, hkl 2 0 0; 2θ 30.39, intensity 15, hkl 1 1 2; 2θ 35.97, intensity 26, hkl 1 0 3; 2θ 37.35, intensity 100, hkl 2 0 2; 2θ 43.17, intensity 40, hkl 2 2 0; 2θ 47.62, intensity 17, hkl 2 1 3; 2θ 75.31, intensity 23, hkl 4 2 2

=====

Diffraction record for TmCo4C. The XRD peak list is simulated, not measured: it uses a DFT-relaxed cell (GGA-PBE, Alexandria) and Cu Ka.
Kinematic intensities with the Lorentz-polarization factor, no thermal factor.

Cell and atoms:
```
data_TmCo4C
_space_group_name_H-M_alt 'C m c m'
_space_group_IT_number 63
_space_group_name_Hall '-C 2c 2'
_cell_length_a 3.931
_cell_length_b 13.282
_cell_length_c 5.524
_cell_angle_alpha 90.00
_cell_angle_beta 90.00
_cell_angle_gamma 90.00
loop_
_atom_site_label
_atom_site_type_symbol
_atom_site_fract_x
_atom_site_fract_y
_atom_site_fract_z
_atom_site_occupancy
Tm1 Tm 0.000 0.102 0.250 1
Co1 Co 0.000 0.115 0.750 1
Co2 Co 0.000 0.297 0.018 1
Co3 Co 0.000 0.500 0.000 1
C1 C 0.000 0.399 0.250 1
```

Principal peaks in the range 2θ = 10–90°, low angle first:
2θ 20.92, intensity 21, hkl 0 2 1; 2θ 34.56, intensity 23, hkl 1 3 1; 2θ 40.49, intensity 95, hkl 1 1 2; 2θ 41.01, intensity 100, hkl 1 5 0; 2θ 42.58, intensity 57, hkl 0 4 2; 2θ 46.18, intensity 40, hkl 2 0 0; 2θ 64.61, intensity 31, hkl 2 4 2; 2θ 82.45, intensity 23, hkl 1 5 4

=====

Diffraction record for TmZn2Co2C. The XRD peak list is simulated, not measured: it uses a DFT-relaxed cell (GGA-PBE, Alexandria) and Cu Ka.
Kinematic intensities with the Lorentz-polarization factor, no thermal factor.

Cell and atoms:
```
data_TmZn2Co2C
_space_group_name_H-M_alt 'I 4/m m m'
_space_group_IT_number 139
_space_group_name_Hall '-I 4 2'
_cell_length_a 3.665
_cell_length_b 3.665
_cell_length_c 13.503
_cell_angle_alpha 90.00
_cell_angle_beta 90.00
_cell_angle_gamma 90.00
loop_
_atom_site_label
_atom_site_type_symbol
_atom_site_fract_x
_atom_site_fract_y
_atom_site_fract_z
_atom_site_occupancy
Tm1 Tm 0.000 0.000 0.000 1
Zn1 Zn 0.000 0.500 0.250 1
Co1 Co 0.000 0.000 0.374 1
C1 C 0.000 0.000 0.500 1
```

Principal peaks in the range 2θ = 10–90°, low angle first:
2θ 26.40, intensity 23, hkl 0 0 4; 2θ 31.48, intensity 94, hkl 1 0 3; 2θ 37.16, intensity 100, hkl 1 1 2; 2θ 41.54, intensity 42, hkl 1 0 5; 2θ 49.76, intensity 41, hkl 2 0 0; 2θ 53.96, intensity 35, hkl 1 1 6; 2θ 60.08, intensity 29, hkl 2 1 3; 2θ 76.78, intensity 21, hkl 2 0 8

=====

Diffraction record for UCoC. The XRD peak list is simulated, not measured: it uses a DFT-relaxed cell (GGA-PBE, Alexandria) and Cu Ka.
Kinematic intensities with the Lorentz-polarization factor, no thermal factor.

Cell and atoms:
```
data_UCoC
_space_group_name_H-M_alt 'C m c m'
_space_group_IT_number 63
_space_group_name_Hall '-C 2c 2'
_cell_length_a 3.597
_cell_length_b 9.086
_cell_length_c 4.870
_cell_angle_alpha 90.00
_cell_angle_beta 90.00
_cell_angle_gamma 90.00
loop_
_atom_site_label
_atom_site_type_symbol
_atom_site_fract_x
_atom_site_fract_y
_atom_site_fract_z
_atom_site_occupancy
U1 U 0.000 0.144 0.250 1
Co1 Co 0.000 0.429 0.250 1
C1 C 0.000 0.158 0.750 1
```

Principal peaks in the range 2θ = 10–90°, low angle first:
2θ 26.84, intensity 54, hkl 0 2 1; 2θ 32.48, intensity 100, hkl 1 1 1; 2θ 36.91, intensity 42, hkl 0 0 2; 2θ 38.88, intensity 43, hkl 1 3 0; 2θ 43.25, intensity 28, hkl 1 3 1; 2θ 54.68, intensity 32, hkl 1 3 2; 2θ 64.41, intensity 24, hkl 2 0 2; 2θ 78.34, intensity 20, hkl 1 7 0

=====

Diffraction record for Y2Co17C. The XRD peak list is simulated, not measured: it uses a DFT-relaxed cell (GGA-PBE, Alexandria) and Cu Ka.
Kinematic intensities with the Lorentz-polarization factor, no thermal factor.

Cell and atoms:
```
data_Y2Co17C
_space_group_name_H-M_alt 'C 1 2/m 1'
_space_group_IT_number 12
_space_group_name_Hall '-C 2y'
_cell_length_a 9.439
_cell_length_b 8.430
_cell_length_c 6.275
_cell_angle_alpha 90.00
_cell_angle_beta 98.73
_cell_angle_gamma 90.00
loop_
_atom_site_label
_atom_site_type_symbol
_atom_site_fract_x
_atom_site_fract_y
_atom_site_fract_z
_atom_site_occupancy
Y1 Y 0.160 0.000 0.354 1
Co1 Co 0.000 0.218 0.000 1
Co2 Co 0.000 0.500 0.500 1
Co3 Co 0.096 0.500 0.902 1
Co4 Co 0.102 0.257 0.650 1
Co5 Co 0.143 0.358 0.287 1
Co6 Co 0.154 0.000 0.852 1
Co7 Co 0.250 0.250 0.000 1
C1 C 0.000 0.000 0.000 1
```

Principal peaks in the range 2θ = 10–90°, low angle first:
2θ 37.00, intensity 41, hkl 1 3 1; 2θ 38.75, intensity 49, hkl 2 2 -2; 2θ 42.91, intensity 49, hkl 0 4 0; 2θ 43.12, intensity 95, hkl 2 2 2; 2θ 43.43, intensity 100, hkl 4 0 1; 2θ 43.56, intensity 58, hkl 1 3 -2; 2θ 44.92, intensity 100, hkl 4 0 -2; 2θ 48.77, intensity 67, hkl 4 2 1

=====

Diffraction record for YCoC. The XRD peak list is simulated, not measured: it uses a DFT-relaxed cell (GGA-PBE, Alexandria) and Cu Ka.
Kinematic intensities with the Lorentz-polarization factor, no thermal factor.

Cell and atoms:
```
data_YCoC
_space_group_name_H-M_alt 'P 4/m m m'
_space_group_IT_number 123
_space_group_name_Hall '-P 4 2'
_cell_length_a 3.567
_cell_length_b 3.567
_cell_length_c 3.609
_cell_angle_alpha 90.00
_cell_angle_beta 90.00
_cell_angle_gamma 90.00
loop_
_atom_site_label
_atom_site_type_symbol
_atom_site_fract_x
_atom_site_fract_y
_atom_site_fract_z
_atom_site_occupancy
Y1 Y 0.000 0.000 0.000 1
Co1 Co 0.500 0.500 0.500 1
C1 C 0.500 0.500 0.000 1
```

Principal peaks in the range 2θ = 10–90°, low angle first:
2θ 35.38, intensity 100, hkl 1 0 1; 2θ 35.60, intensity 65, hkl 1 1 0; 2θ 50.58, intensity 11, hkl 0 0 2; 2θ 51.22, intensity 22, hkl 2 0 0; 2θ 63.38, intensity 22, hkl 1 1 2; 2θ 63.80, intensity 34, hkl 2 1 1; 2θ 74.86, intensity 13, hkl 2 0 2; 2θ 86.23, intensity 9, hkl 3 1 0